(1)
The following is a simulated powder diffraction line list of TbPu2Pt3. It was derived from a cell relaxed with GGA-PBE, using Cu Kα X-rays.
Intensities are scaled so that the largest is 1000.

Largest 12 diffraction maxima, by angle, 10 to 90 degrees two-theta:
2θ (°), intensity, hkl
30.94, 1000, 1 0 3
31.10, 494, 0 2 0
44.16, 192, 2 0 0
44.44, 941, 1 2 3
54.99, 209, 2 2 0
55.26, 199, 0 2 6
64.47, 126, 2 0 6
73.00, 92, 3 0 3
73.31, 176, 2 2 6
73.56, 174, 1 4 3
81.44, 134, 3 2 3
81.86, 197, 2 4 0

Atomic structure:
```
data_TbPu2Pt3
_cell_length_a 4.1016
_cell_length_b 5.7522
_cell_length_c 12.2222
_cell_angle_alpha 90.00
_cell_angle_beta 90.00
_cell_angle_gamma 90.00
_space_group_name_H-M_alt 'I m m m'
_space_group_IT_number 71
_space_group_name_Hall '-I 2 2'
loop_
_atom_site_label
_atom_site_type_symbol
_atom_site_fract_x
_atom_site_fract_y
_atom_site_fract_z
Tb1 Tb 0.0000 0.0000 0.0000
Pu1 Pu 0.0000 0.0000 0.3356
Pt1 Pt 0.0000 0.5000 0.0000
Pt2 Pt 0.0000 0.5000 0.3300
```

---

(2)
The following is a simulated powder diffraction line list of ErHfU. It was derived from a cell relaxed with GGA-PBE, using Cu Kα X-rays.
Intensities are scaled so that the largest is 1000.

Largest 12 diffraction maxima, by angle, 10 to 90 degrees two-theta:
2θ (°), intensity, hkl
16.08, 191, 0 0 1
30.28, 193, 1 1 -1
32.48, 128, 0 0 2
33.74, 137, 2 0 -2
34.11, 802, 3 1 -1
34.70, 528, 6 0 0
35.30, 1000, 3 1 1
41.55, 143, 1 1 -2
42.84, 129, 5 1 1
51.49, 194, 0 2 0
63.33, 152, 9 1 1
63.59, 188, 6 2 0

Atomic structure:
```
data_ErHfU
_cell_length_a 15.5516
_cell_length_b 3.5495
_cell_length_c 5.5263
_cell_angle_alpha 90.00
_cell_angle_beta 94.03
_cell_angle_gamma 90.00
_space_group_name_H-M_alt 'C 1 2/m 1'
_space_group_IT_number 12
_space_group_name_Hall '-C 2y'
loop_
_atom_site_label
_atom_site_type_symbol
_atom_site_fract_x
_atom_site_fract_y
_atom_site_fract_z
Er1 Er 0.0934 0.0000 0.3382
Hf1 Hf 0.0776 0.5000 0.8406
U1 U 0.2411 0.0000 0.8401
```

---

- Which formula does entry 2 have?
  ErHfU